Record 1
Theoretical powder X-ray diffraction pattern
Compound: Ac3CuI3
Radiation: Cu Kα X-rays
Structure: a structure optimized by DFT (GGA-PBE)
Peak positions follow from Bragg's law for the DFT cell and can differ from measured ones.

Crystal structure
```
data_Ac3CuI3
_cell_length_a 9.900
_cell_length_b 4.374
_cell_length_c 13.328
_cell_angle_alpha 90.00
_cell_angle_beta 90.43
_cell_angle_gamma 90.00
_symmetry_space_group_name_H-M 'P 1 21/m 1'
_symmetry_Int_Tables_number 11
loop_
_symmetry_equiv_pos_as_xyz
'x,y,z'
'-x,-y,-z'
'-x,y+1/2,-z'
'x,-y+1/2,z'
loop_
_atom_site_label
_atom_site_type_symbol
_atom_site_fract_x
_atom_site_fract_y
_atom_site_fract_z
_atom_site_occupancy
Ac1 Ac 0.092 0.250 0.384 1
Ac2 Ac 0.125 0.250 0.853 1
Ac3 Ac 0.328 0.750 0.625 1
Cu1 Cu 0.121 0.250 0.626 1
I1 I 0.140 0.250 0.116 1
I2 I 0.383 0.750 0.367 1
I3 I 0.385 0.750 0.878 1
```

Top 10 peaks for 5 to 70 degrees two-theta, in order of rising 2θ:
2θ/deg	I/Imax	h k l
6.63	18	0 0 1
8.93	17	1 0 0
25.98	17	1 1 2
26.76	54	0 0 4
27.21	100	2 1 0
36.30	17	4 0 0
38.43	35	2 1 -4
38.63	39	2 1 4
41.28	18	0 2 0
49.88	21	0 2 4

Record 2
Theoretical powder X-ray diffraction pattern
Compound: Pr2YP3
Radiation: Cu Kα X-rays
Structure: a structure optimized by DFT (GGA-PBE)
Peak positions follow from Bragg's law for the DFT cell and can differ from measured ones.

Crystal structure
```
data_Pr2YP3
_cell_length_a 4.148
_cell_length_b 4.148
_cell_length_c 17.569
_cell_angle_alpha 90.00
_cell_angle_beta 90.00
_cell_angle_gamma 90.00
_symmetry_space_group_name_H-M 'I 4/m m m'
_symmetry_Int_Tables_number 139
_symmetry_space_group_name_Hall '-I 4 2'
loop_
_atom_site_label
_atom_site_type_symbol
_atom_site_fract_x
_atom_site_fract_y
_atom_site_fract_z
_atom_site_occupancy
Pr1 Pr 0.000 0.000 0.166 1
Y1 Y 0.000 0.000 0.500 1
P1 P 0.000 0.000 0.000 1
P2 P 0.000 0.000 0.337 1
```

Top 10 peaks for 5 to 70 degrees two-theta, in order of rising 2θ:
2θ/deg	I/Imax	h k l
10.07	4	0 0 2
22.02	3	1 0 1
26.33	69	1 0 3
30.49	100	1 1 0
43.67	73	2 0 0
51.71	34	1 0 9
54.19	25	2 0 6
63.42	8	2 2 0
63.55	4	0 0 12
69.94	14	2 1 9

Record 3
Theoretical powder X-ray diffraction pattern
Compound: PuPdAu2
Radiation: Cu Kα X-rays
Structure: a structure optimized by DFT (GGA-PBE)
Peak positions follow from Bragg's law for the DFT cell and can differ from measured ones.

Crystal structure
```
data_PuPdAu2
_cell_length_a 4.322
_cell_length_b 7.632
_cell_length_c 5.473
_cell_angle_alpha 90.00
_cell_angle_beta 113.19
_cell_angle_gamma 90.00
_symmetry_space_group_name_H-M 'P 1 21/m 1'
_symmetry_Int_Tables_number 11
loop_
_symmetry_equiv_pos_as_xyz
'x,y,z'
'-x,-y,-z'
'-x,y+1/2,-z'
'x,-y+1/2,z'
loop_
_atom_site_label
_atom_site_type_symbol
_atom_site_fract_x
_atom_site_fract_y
_atom_site_fract_z
_atom_site_occupancy
Pu1 Pu 0.069 0.250 0.137 1
Pd1 Pd 0.223 0.750 0.448 1
Au1 Au 0.368 0.057 0.736 1
```

Top 10 peaks for 5 to 70 degrees two-theta, in order of rising 2θ:
2θ/deg	I/Imax	h k l
32.54	100	1 2 0
33.83	26	1 0 -2
35.88	67	1 1 1
37.65	19	0 1 2
39.70	37	0 3 1
41.80	37	2 0 -1
42.19	19	1 3 -1
43.07	15	0 2 2
59.01	24	2 3 -2
68.84	15	1 0 3